Diffraction record for Rb3Co2PbF9. The powder diffractogram is calculated, not measured: it uses a structure optimized by DFT (PBE+U) and λ = 1.5418 Å (Cu Kα).

Cell and atoms:
```
15
Lattice="6.156 0.000 0.000 -3.078 5.332 0.000 0.000 0.000 7.709" Properties=species:S:1:pos:R:3 pbc="T T T"
Rb 0.000 0.000 0.000
Rb 0.000 3.554 5.294
Rb 3.078 1.777 2.415
Co 0.000 3.554 1.135
Co 3.078 1.777 6.574
Pb 0.000 0.000 3.854
F -1.539 2.666 0.000
F 0.000 1.905 2.355
F -1.428 4.379 2.355
F 1.650 0.953 5.353
F 3.078 0.000 0.000
F 1.539 2.666 0.000
F 1.428 4.379 2.355
F 4.506 0.953 5.353
F 3.078 3.426 5.353
```

Peak list (8 most intense, 10 to 90 degrees two-theta, in order of rising 2θ)
2θ 16.63, I = 19
2θ 20.25, I = 32
2θ 28.58, I = 100
2θ 29.01, I = 90
2θ 41.17, I = 73
2θ 51.15, I = 38
2θ 59.16, I = 20
2θ 60.12, I = 21